(1)
Structure and simulated powder diffraction line list of KErP2O7 (a crystal structure in the Materials Project, relaxed with PBE; Cu Kα (λ = 1.5418 Å)).
No peak broadening, texture or thermal motion is included.

Most intense lines, 2θ = 10–80°, in order of rising 2θ:
14.32°, rel. 76; 15.70°, rel. 55; 19.32°, rel. 16; 21.13°, rel. 57; 22.65°, rel. 18; 23.76°, rel. 19; 27.13°, rel. 57; 28.33°, rel. 100; 31.85°, rel. 19; 35.48°, rel. 17; 49.67°, rel. 19; 55.83°, rel. 15

Atomic structure:
abc: 7.8007 10.9718 8.7616
angles: 90.00 106.26 90.00
Space group P2_1/c (No. 14)
Symmetry-distinct sites (fractional):
1 K 0.1779 0.1803 0.0572 (multiplicity 4)
2 Er 0.2375 0.6001 0.2581 (multiplicity 4)
3 P 0.1312 0.5977 0.8227 (multiplicity 4)
4 P 0.4353 0.6335 0.6935 (multiplicity 4)
5 O 0.0054 0.5014 0.7240 (multiplicity 4)
6 O 0.0784 0.7262 0.7553 (multiplicity 4)
7 O 0.1483 0.5907 0.9989 (multiplicity 4)
8 O 0.3282 0.5642 0.8035 (multiplicity 4)
9 O 0.3279 0.6086 0.5217 (multiplicity 4)
10 O 0.3799 0.0748 0.7640 (multiplicity 4)
11 O 0.4507 0.7317 0.2418 (multiplicity 4)

(2)
Structure and simulated powder diffraction line list of KErP4O12 (a crystal structure in the Materials Project, relaxed with PBE; Cu Kα (λ = 1.5418 Å)).
No peak broadening, texture or thermal motion is included.

Most intense lines, 2θ = 10–80°, in order of rising 2θ:
15.39°, rel. 100; 16.06°, rel. 78; 16.28°, rel. 49; 16.70°, rel. 61; 26.82°, rel. 86; 27.09°, rel. 72; 27.48°, rel. 49; 27.99°, rel. 31; 28.65°, rel. 68; 29.14°, rel. 59; 41.58°, rel. 31; 43.11°, rel. 32

Atomic structure:
abc: 7.3261 8.3921 7.9191
angles: 90.00 91.45 90.00
Space group P2_1 (No. 4)
Symmetry-distinct sites (fractional):
1 K 0.2326 0.0000 0.2831 (multiplicity 2)
2 Er 0.2614 0.6914 0.7578 (multiplicity 2)
3 P 0.0647 0.0652 0.9093 (multiplicity 2)
4 P 0.1121 0.4429 0.3987 (multiplicity 2)
5 P 0.4032 0.2739 0.9030 (multiplicity 2)
6 P 0.4948 0.5385 0.3820 (multiplicity 2)
7 O 0.0203 0.2885 0.3544 (multiplicity 2)
8 O 0.0343 0.5827 0.2747 (multiplicity 2)
9 O 0.0717 0.5944 0.9558 (multiplicity 2)
10 O 0.1091 0.5023 0.5768 (multiplicity 2)
11 O 0.1771 0.9169 0.9286 (multiplicity 2)
12 O 0.1925 0.2206 0.8983 (multiplicity 2)
13 O 0.3198 0.4285 0.3385 (multiplicity 2)
14 O 0.3395 0.9332 0.6176 (multiplicity 2)
15 O 0.4082 0.4377 0.8293 (multiplicity 2)
16 O 0.4640 0.6342 0.5391 (multiplicity 2)
17 O 0.4848 0.2430 0.0758 (multiplicity 2)
18 O 0.4903 0.6540 0.2209 (multiplicity 2)

(3)
Structure and simulated powder diffraction line list of KErS2O8 (a crystal structure in the Materials Project, relaxed with PBE; Cu Kα (λ = 1.5418 Å)).
No peak broadening, texture or thermal motion is included.

Most intense lines, 2θ = 10–80°, in order of rising 2θ:
16.50°, rel. 100; 18.51°, rel. 25; 19.50°, rel. 37; 20.86°, rel. 23; 25.93°, rel. 54; 26.41°, rel. 47; 27.37°, rel. 40; 28.29°, rel. 28; 28.38°, rel. 27; 29.72°, rel. 37; 32.09°, rel. 41; 32.64°, rel. 36

Atomic structure:
abc: 5.4963 13.5011 10.1802
angles: 90.00 119.29 90.00
Space group P2_1/c (No. 14)
Symmetry-distinct sites (fractional):
1 K 0.0903 0.0883 0.3439 (multiplicity 4)
2 Er 0.4097 0.6514 0.6869 (multiplicity 4)
3 S 0.1398 0.6626 0.8870 (multiplicity 4)
4 S 0.3232 0.1167 0.0799 (multiplicity 4)
5 O 0.0200 0.1013 0.9784 (multiplicity 4)
6 O 0.0842 0.7332 0.7641 (multiplicity 4)
7 O 0.1153 0.1034 0.6482 (multiplicity 4)
8 O 0.2421 0.7094 0.0358 (multiplicity 4)
9 O 0.3608 0.5936 0.8925 (multiplicity 4)
10 O 0.3637 0.2113 0.1627 (multiplicity 4)
11 O 0.4361 0.0333 0.1888 (multiplicity 4)
12 O 0.4687 0.1214 0.9898 (multiplicity 4)

(4)
Structure and simulated powder diffraction line list of K2ErSbO7 (a crystal structure in the Materials Project, relaxed with PBE; Cu Kα (λ = 1.5418 Å)).
No peak broadening, texture or thermal motion is included.

Most intense lines, 2θ = 10–80°, in order of rising 2θ:
13.13°, rel. 72; 15.31°, rel. 31; 21.89°, rel. 24; 25.82°, rel. 47; 26.44°, rel. 100; 27.19°, rel. 91; 30.89°, rel. 48; 31.41°, rel. 22; 40.15°, rel. 16; 44.63°, rel. 57; 51.86°, rel. 36; 53.14°, rel. 27

Atomic structure:
abc: 8.0221 11.3924 8.3625
angles: 90.00 90.00 90.00
Space group Imma (No. 74)
Symmetry-distinct sites (fractional):
1 K 0.0000 0.0000 0.0000 (multiplicity 4)
2 K 0.2500 0.2500 0.2500 (multiplicity 4)
3 Er 0.2500 0.2500 0.7500 (multiplicity 4)
4 Sb 0.0000 0.0000 0.5000 (multiplicity 4)
5 O 0.0000 0.0848 0.2944 (multiplicity 8)
6 O 0.0000 0.2500 0.8601 (multiplicity 4)
7 O 0.1773 0.1120 0.5702 (multiplicity 16)